# 1
The following is a calculated powder XRD pattern of CaNd6Sm. It was derived from a crystal structure in Alexandria, relaxed with GGA-PBE, using Cu Kα X-rays.
Neutral-atom scattering factors, no anomalous dispersion.

Atomic structure:
```
data_CaNd6Sm
_chemical_formula_sum 'Ca1 Nd6 Sm1'
_space_group_name_H-M_alt 'P 4/m m m'
_space_group_IT_number 123
_space_group_name_Hall '-P 4 2'
_cell_length_a 5.2241
_cell_length_b 5.2241
_cell_length_c 10.4294
_cell_angle_alpha 90.00
_cell_angle_beta 90.00
_cell_angle_gamma 90.00
loop_
_atom_site_label
_atom_site_fract_x
_atom_site_fract_y
_atom_site_fract_z
Ca1 0.0000 0.0000 0.0000
Nd1 0.0000 0.5000 0.2562
Nd2 0.5000 0.5000 0.0000
Nd3 0.5000 0.5000 0.5000
Sm1 0.0000 0.0000 0.5000
```

Most intense lines, 5 to 70 degrees two-theta, sorted by position:
- d 10.429, intensity 6
- d 3.014, intensity 100
- d 2.611, intensity 51
- d 1.846, intensity 36
- d 1.574, intensity 43
- d 1.507, intensity 12

# 2
The following is a calculated powder XRD pattern of CaNdSm14. It was derived from a crystal structure in Alexandria, relaxed with GGA-PBE, using Cu Kα X-rays.
Neutral-atom scattering factors, no anomalous dispersion.

Atomic structure:
```
data_CaNdSm14
_chemical_formula_sum 'Ca2 Nd2 Sm28'
_space_group_name_H-M_alt 'A m m 2'
_space_group_IT_number 38
_space_group_name_Hall 'A 2 -2'
_cell_length_a 11.7055
_cell_length_b 7.3905
_cell_length_c 12.8042
_cell_angle_alpha 90.00
_cell_angle_beta 90.00
_cell_angle_gamma 90.00
loop_
_atom_site_label
_atom_site_fract_x
_atom_site_fract_y
_atom_site_fract_z
Ca1 0.0000 0.0000 0.0000
Nd1 0.0000 0.0000 0.4985
Sm1 0.0000 0.2479 0.2505
Sm2 0.2491 0.0000 0.3332
Sm3 0.2523 0.0000 0.8307
Sm4 0.2529 0.2462 0.5846
Sm5 0.5000 0.0000 0.9999
Sm6 0.5000 0.0000 0.4999
Sm7 0.5000 0.2497 0.2499
```

Most intense lines, 5 to 70 degrees two-theta, sorted by position:
- d 3.201, intensity 24
- d 2.926, intensity 25
- d 2.808, intensity 100
- d 1.848, intensity 20
- d 1.666, intensity 21
- d 1.562, intensity 23

# 3
The following is a calculated powder XRD pattern of CaNd7Sm4. It was derived from a crystal structure in Alexandria, relaxed with GGA-PBE, using Cu Kα X-rays.
Neutral-atom scattering factors, no anomalous dispersion.

Atomic structure:
```
data_CaNd7Sm4
_chemical_formula_sum 'Ca1 Nd7 Sm4'
_space_group_name_H-M_alt 'P -1'
_space_group_IT_number 2
_space_group_name_Hall '-P 1'
_cell_length_a 6.4109
_cell_length_b 7.4070
_cell_length_c 9.1586
_cell_angle_alpha 90.01
_cell_angle_beta 103.42
_cell_angle_gamma 90.02
loop_
_atom_site_label
_atom_site_fract_x
_atom_site_fract_y
_atom_site_fract_z
Ca1 0.0000 0.0000 0.0000
Nd1 0.0000 0.5000 0.0000
Nd2 0.2265 0.9999 0.6591
Nd3 0.2816 0.2551 0.3356
Nd4 0.4994 0.7439 0.9998
Sm1 0.2206 0.4995 0.6693
Sm2 0.2820 0.7453 0.3351
```

Most intense lines, 5 to 70 degrees two-theta, sorted by position:
- d 3.184, intensity 33
- d 2.969, intensity 53
- d 2.891, intensity 100
- d 2.750, intensity 93
- d 1.851, intensity 40
- d 1.571, intensity 47

Copy entry 3 word for word.
The following is a calculated powder XRD pattern of CaNd7Sm4. It was derived from a crystal structure in Alexandria, relaxed with GGA-PBE, using Cu Kα X-rays.
Neutral-atom scattering factors, no anomalous dispersion.

Atomic structure:
```
data_CaNd7Sm4
_chemical_formula_sum 'Ca1 Nd7 Sm4'
_space_group_name_H-M_alt 'P -1'
_space_group_IT_number 2
_space_group_name_Hall '-P 1'
_cell_length_a 6.4109
_cell_length_b 7.4070
_cell_length_c 9.1586
_cell_angle_alpha 90.01
_cell_angle_beta 103.42
_cell_angle_gamma 90.02
loop_
_atom_site_label
_atom_site_fract_x
_atom_site_fract_y
_atom_site_fract_z
Ca1 0.0000 0.0000 0.0000
Nd1 0.0000 0.5000 0.0000
Nd2 0.2265 0.9999 0.6591
Nd3 0.2816 0.2551 0.3356
Nd4 0.4994 0.7439 0.9998
Sm1 0.2206 0.4995 0.6693
Sm2 0.2820 0.7453 0.3351
```

Most intense lines, 5 to 70 degrees two-theta, sorted by position:
- d 3.184, intensity 33
- d 2.969, intensity 53
- d 2.891, intensity 100
- d 2.750, intensity 93
- d 1.851, intensity 40
- d 1.571, intensity 47

What did the third record say?
The following is a calculated powder XRD pattern of CaNd7Sm4. It was derived from a crystal structure in Alexandria, relaxed with GGA-PBE, using Cu Kα X-rays.
Neutral-atom scattering factors, no anomalous dispersion.

Atomic structure:
```
data_CaNd7Sm4
_chemical_formula_sum 'Ca1 Nd7 Sm4'
_space_group_name_H-M_alt 'P -1'
_space_group_IT_number 2
_space_group_name_Hall '-P 1'
_cell_length_a 6.4109
_cell_length_b 7.4070
_cell_length_c 9.1586
_cell_angle_alpha 90.01
_cell_angle_beta 103.42
_cell_angle_gamma 90.02
loop_
_atom_site_label
_atom_site_fract_x
_atom_site_fract_y
_atom_site_fract_z
Ca1 0.0000 0.0000 0.0000
Nd1 0.0000 0.5000 0.0000
Nd2 0.2265 0.9999 0.6591
Nd3 0.2816 0.2551 0.3356
Nd4 0.4994 0.7439 0.9998
Sm1 0.2206 0.4995 0.6693
Sm2 0.2820 0.7453 0.3351
```

Most intense lines, 5 to 70 degrees two-theta, sorted by position:
- d 3.184, intensity 33
- d 2.969, intensity 53
- d 2.891, intensity 100
- d 2.750, intensity 93
- d 1.851, intensity 40
- d 1.571, intensity 47